(1)
Theoretical powder diffractogram of K5TaTl2As4 for Cu Kα (λ = 1.5418 Å), from a cell relaxed with PBE.

Largest 10 diffraction maxima, most intense first, 15° ≤ 2θ ≤ 90°:
d = 5.396 Å, intensity 100, hkl 0 2 0; d = 3.250 Å, intensity 75, hkl 5 1 1; d = 3.173 Å, intensity 62, hkl 3 1 2; d = 2.724 Å, intensity 55, hkl 6 2 0; d = 2.698 Å, intensity 51, hkl 0 4 0; d = 2.999 Å, intensity 43, hkl 2 2 2; d = 2.902 Å, intensity 38, hkl 3 3 1; d = 2.826 Å, intensity 37, hkl 6 1 1; d = 4.333 Å, intensity 36, hkl 4 1 0; d = 2.507 Å, intensity 34, hkl 1 1 3

Structural model:
```
data_K5TaTl2As4
_chemical_formula_sum 'K20 Ta4 Tl8 As16'
_symmetry_space_group_name_H-M 'P n m a'
_symmetry_Int_Tables_number 62
_cell_length_a 18.9403
_cell_length_b 10.7927
_cell_length_c 7.8047
_cell_angle_alpha 90.00
_cell_angle_beta 90.00
_cell_angle_gamma 90.00
loop_
_symmetry_equiv_pos_as_xyz
'x,y,z'
'-x,-y,-z'
'-x+1/2,-y,z+1/2'
'x+1/2,y,-z+1/2'
'x+1/2,-y+1/2,-z+1/2'
'-x+1/2,y+1/2,z+1/2'
'-x,y+1/2,-z'
'x,-y+1/2,z'
loop_
_atom_site_label
_atom_site_type_symbol
_atom_site_fract_x
_atom_site_fract_y
_atom_site_fract_z
K1 K 0.0212 0.2500 0.1056
K2 K 0.0781 0.0248 0.6934
K3 K 0.2481 0.5548 0.4783
Ta1 Ta 0.1631 0.7500 0.0838
Tl1 Tl 0.0512 0.7500 0.4258
Tl2 Tl 0.1823 0.2500 0.3189
As1 As 0.1014 0.5615 0.1971
As2 As 0.1630 0.7500 0.7635
As3 As 0.2081 0.2500 0.6713
```


(2)
Theoretical powder diffractogram of Er6Al3Si for Cu Kα (λ = 1.5418 Å), from a cell relaxed with PBE.

Largest 10 diffraction maxima, most intense first, 15° ≤ 2θ ≤ 90°:
d = 2.619 Å, intensity 100, hkl 3 1 4; d = 2.733 Å, intensity 89, hkl 4 1 1; d = 3.792 Å, intensity 40, hkl 0 0 4; d = 2.690 Å, intensity 36, hkl 3 2 3; d = 3.599 Å, intensity 36, hkl 2 1 3; d = 2.700 Å, intensity 36, hkl 3 3 0; d = 1.709 Å, intensity 29, hkl 4 1 7; d = 1.619 Å, intensity 29, hkl 5 5 0; d = 3.622 Å, intensity 27, hkl 3 1 0; d = 1.634 Å, intensity 25, hkl 6 2 4

Structural model:
```
data_Er6Al3Si
_chemical_formula_sum 'Er48 Al24 Si8'
_symmetry_space_group_name_H-M 'I 4/m c m'
_symmetry_Int_Tables_number 140
_symmetry_space_group_name_Hall '-I 4 2c'
_cell_length_a 11.4547
_cell_length_b 11.4547
_cell_length_c 15.1692
_cell_angle_alpha 90.00
_cell_angle_beta 90.00
_cell_angle_gamma 90.00
loop_
_atom_site_label
_atom_site_type_symbol
_atom_site_fract_x
_atom_site_fract_y
_atom_site_fract_z
Er1 Er 0.0000 0.5000 0.1466
Er2 Er 0.0646 0.1967 0.1344
Er3 Er 0.1686 0.3314 0.5000
Al1 Al 0.1222 0.3777 0.0000
Al2 Al 0.1769 0.3231 0.2952
Si1 Si 0.0000 0.0000 0.0000
Si2 Si 0.0000 0.0000 0.2500
```


(3)
Theoretical powder diffractogram of GdSiO4 for Cu Kα (λ = 1.5418 Å), from a cell relaxed with PBE.

Largest 10 diffraction maxima, most intense first, 15° ≤ 2θ ≤ 90°:
d = 3.611 Å, intensity 100, hkl 0 1 1; d = 3.091 Å, intensity 94, hkl 2 2 0; d = 2.738 Å, intensity 80, hkl 2 1 1; d = 1.922 Å, intensity 46, hkl 1 4 1; d = 4.200 Å, intensity 46, hkl 2 0 0; d = 4.565 Å, intensity 40, hkl 0 2 0; d = 1.815 Å, intensity 37, hkl 4 1 1; d = 2.808 Å, intensity 34, hkl 1 2 1; d = 2.088 Å, intensity 31, hkl 2 3 1; d = 2.861 Å, intensity 29, hkl 1 3 0

Structural model:
```
data_GdSiO4
_chemical_formula_sum 'Gd4 Si4 O16'
_symmetry_space_group_name_H-M 'P n a 21'
_symmetry_Int_Tables_number 33
_cell_length_a 8.4004
_cell_length_b 9.1302
_cell_length_c 3.9322
_cell_angle_alpha 90.00
_cell_angle_beta 90.00
_cell_angle_gamma 90.00
loop_
_symmetry_equiv_pos_as_xyz
'x,y,z'
'-x,-y,z+1/2'
'-x+1/2,y+1/2,z+1/2'
'x+1/2,-y+1/2,z'
loop_
_atom_site_label
_atom_site_type_symbol
_atom_site_fract_x
_atom_site_fract_y
_atom_site_fract_z
Gd1 Gd 0.0114 0.2052 0.0000
Si1 Si 0.2232 0.4563 0.5563
O1 O 0.0812 0.3362 0.4958
O2 O 0.0844 0.9200 0.9971
O3 O 0.2037 0.6330 0.4953
O4 O 0.2296 0.4330 0.9866
```